The following is a computed XRD peak list of Li8Tl3In. It was derived from a structure optimized by DFT (PBE), using λ = 1.5418 Å (Cu Kα).
Neutral-atom scattering factors, no anomalous dispersion.

Top 10 peaks for 2θ from 10° to 90°, low angle first:
- d 4.284, I = 100
- d 3.481, I = 78
- d 3.192, I = 47
- d 2.393, I = 19
- d 2.384, I = 73
- d 2.363, I = 19
- d 2.089, I = 31
- d 1.955, I = 32
- d 1.864, I = 15
- d 1.380, I = 19

Cell and atoms:
```
data_Li8Tl3In
_cell_length_a 9.453
_cell_length_b 9.573
_cell_length_c 5.595
_cell_angle_alpha 90.00
_cell_angle_beta 115.00
_cell_angle_gamma 90.00
_space_group_name_H-M_alt 'C 1 m 1'
_space_group_IT_number 8
loop_
_space_group_symop_operation_xyz
'x,y,z'
'x,-y,z'
'x+1/2,y+1/2,z'
'x+1/2,-y+1/2,z'
loop_
_atom_site_label
_atom_site_type_symbol
_atom_site_fract_x
_atom_site_fract_y
_atom_site_fract_z
_atom_site_occupancy
Li1 Li 0.000 0.000 0.000 1
Li2 Li 0.002 0.500 0.996 1
Li3 Li 0.086 0.251 0.339 1
Li4 Li 0.171 0.500 0.684 1
Li5 Li 0.174 0.000 0.681 1
Li6 Li 0.415 0.249 0.655 1
Tl1 Tl 0.245 0.249 0.977 1
Tl2 Tl 0.343 0.500 0.367 1
In1 In 0.340 0.000 0.350 1
```

The following is a computed XRD peak list of LiTl17In11. It was derived from a structure optimized by DFT (PBE), using λ = 1.5418 Å (Cu Kα).
Neutral-atom scattering factors, no anomalous dispersion.

Top 10 peaks for 2θ from 10° to 90°, low angle first:
- d 2.982, I = 11
- d 2.828, I = 43
- d 2.815, I = 80
- d 2.801, I = 100
- d 2.564, I = 9
- d 2.540, I = 10
- d 2.424, I = 9
- d 1.627, I = 11
- d 1.622, I = 9
- d 1.618, I = 22

Cell and atoms:
```
data_LiTl17In11
_cell_length_a 11.945
_cell_length_b 16.821
_cell_length_c 10.266
_cell_angle_alpha 90.00
_cell_angle_beta 124.68
_cell_angle_gamma 90.00
_space_group_name_H-M_alt 'C 1 m 1'
_space_group_IT_number 8
loop_
_space_group_symop_operation_xyz
'x,y,z'
'x,-y,z'
'x+1/2,y+1/2,z'
'x+1/2,-y+1/2,z'
loop_
_atom_site_label
_atom_site_type_symbol
_atom_site_fract_x
_atom_site_fract_y
_atom_site_fract_z
_atom_site_occupancy
Li1 Li 0.000 0.000 0.000 1
Tl1 Tl 0.003 0.177 0.809 1
Tl2 Tl 0.003 0.500 0.519 1
Tl3 Tl 0.021 0.157 0.201 1
Tl4 Tl 0.044 0.500 0.164 1
Tl5 Tl 0.120 0.340 0.407 1
Tl6 Tl 0.181 0.000 0.808 1
Tl7 Tl 0.185 0.000 0.450 1
Tl8 Tl 0.200 0.301 0.127 1
Tl9 Tl 0.222 0.358 0.807 1
Tl10 Tl 0.288 0.500 0.084 1
Tl11 Tl 0.378 0.198 0.489 1
In1 In 0.175 0.183 0.620 1
In2 In 0.269 0.092 0.170 1
In3 In 0.323 0.500 0.647 1
In4 In 0.369 0.183 0.998 1
In5 In 0.404 0.407 0.438 1
In6 In 0.460 0.090 0.807 1
```

The following is a computed XRD peak list of LiTl15In4. It was derived from a structure optimized by DFT (PBE), using λ = 1.5418 Å (Cu Kα).
Neutral-atom scattering factors, no anomalous dispersion.

Top 10 peaks for 2θ from 10° to 90°, low angle first:
- d 2.824, I = 100
- d 2.480, I = 36
- d 2.381, I = 15
- d 1.754, I = 13
- d 1.718, I = 22
- d 1.490, I = 29
- d 1.446, I = 12
- d 1.412, I = 12
- d 1.135, I = 6
- d 1.116, I = 11

Cell and atoms:
```
data_LiTl15In4
_cell_length_a 4.960
_cell_length_b 4.960
_cell_length_c 23.815
_cell_angle_alpha 90.00
_cell_angle_beta 90.00
_cell_angle_gamma 90.00
_space_group_name_H-M_alt 'P 4/m m m'
_space_group_IT_number 123
_space_group_name_Hall '-P 4 2'
loop_
_atom_site_label
_atom_site_type_symbol
_atom_site_fract_x
_atom_site_fract_y
_atom_site_fract_z
_atom_site_occupancy
Li1 Li 0.000 0.000 0.000 1
Tl1 Tl 0.000 0.500 0.094 1
Tl2 Tl 0.000 0.500 0.297 1
Tl3 Tl 0.000 0.500 0.500 1
Tl4 Tl 0.500 0.500 0.000 1
Tl5 Tl 0.500 0.500 0.195 1
Tl6 Tl 0.500 0.500 0.399 1
In1 In 0.000 0.000 0.194 1
In2 In 0.000 0.000 0.398 1
```

The following is a computed XRD peak list of LiTlIn2. It was derived from a structure optimized by DFT (PBE), using λ = 1.5418 Å (Cu Kα).
Neutral-atom scattering factors, no anomalous dispersion.

Top 10 peaks for 2θ from 10° to 90°, low angle first:
- d 5.120, I = 95
- d 3.118, I = 29
- d 3.008, I = 26
- d 2.689, I = 100
- d 2.638, I = 47
- d 2.629, I = 47
- d 2.560, I = 87
- d 1.862, I = 34
- d 1.559, I = 19
- d 1.483, I = 19

Cell and atoms:
```
data_LiTlIn2
_cell_length_a 6.240
_cell_length_b 10.515
_cell_length_c 3.332
_cell_angle_alpha 90.00
_cell_angle_beta 110.05
_cell_angle_gamma 90.00
_space_group_name_H-M_alt 'C 1 2/m 1'
_space_group_IT_number 12
loop_
_space_group_symop_operation_xyz
'x,y,z'
'-x,-y,-z'
'-x,y,-z'
'x,-y,z'
'x+1/2,y+1/2,z'
'-x+1/2,-y+1/2,-z'
'-x+1/2,y+1/2,-z'
'x+1/2,-y+1/2,z'
loop_
_atom_site_label
_atom_site_type_symbol
_atom_site_fract_x
_atom_site_fract_y
_atom_site_fract_z
_atom_site_occupancy
Li1 Li 0.000 0.000 0.000 1
Tl1 Tl 0.000 0.500 0.000 1
In1 In 0.250 0.250 0.500 1
```